[1]
Starting from a crystal structure in the Materials Project, relaxed with PBE, the PXRD pattern of TlGeO3 was calculated for Cu Ka.

Principal peaks in the range 2θ from 10° to 90°, low angle first:
2θ (°), Rel. int., h k l
23.02, 20, 1 0 0
32.79, 100, 1 1 0
40.45, 17, 1 1 1
47.05, 28, 2 0 0
53.01, 10, 2 1 0
58.53, 40, 2 1 1
68.73, 17, 2 2 0
73.56, 5, 3 0 0
78.27, 17, 3 1 0
82.89, 6, 3 1 1
87.48, 6, 2 2 2

Cell and atoms:
```
data_TlGeO3
_cell_length_a 3.8627
_cell_length_b 3.8627
_cell_length_c 3.8627
_cell_angle_alpha 90.00
_cell_angle_beta 90.00
_cell_angle_gamma 90.00
_space_group_name_H-M_alt 'P m -3 m'
_space_group_IT_number 221
_space_group_name_Hall '-P 4 2 3'
loop_
_atom_site_label
_atom_site_fract_x
_atom_site_fract_y
_atom_site_fract_z
Tl1 0.0000 0.0000 0.0000
Ge1 0.5000 0.5000 0.5000
O1 0.0000 0.5000 0.5000
```

***

[2]
Starting from a crystal structure in the Materials Project, relaxed with PBE, the PXRD pattern of EuTaO4 was calculated for Cu Ka.

Principal peaks in the range 2θ from 10° to 90°, low angle first:
2θ (°), Rel. int., h k l
23.12, 18, 1 1 0
27.29, 100, 1 1 -1
29.67, 80, 1 1 1
31.46, 18, 0 2 0
33.23, 26, 0 0 2
34.34, 20, 2 0 0
35.69, 15, 0 2 1
45.43, 17, 2 0 -2
46.41, 19, 0 2 2
47.26, 18, 2 2 0
54.44, 17, 1 1 -3
55.95, 13, 3 1 -1

Cell and atoms:
```
data_EuTaO4
_cell_length_a 5.2586
_cell_length_b 5.6877
_cell_length_c 5.4299
_cell_angle_alpha 90.00
_cell_angle_beta 96.75
_cell_angle_gamma 90.00
_space_group_name_H-M_alt 'P 1 2/c 1'
_space_group_IT_number 13
loop_
_space_group_symop_operation_xyz
'x,y,z'
'-x,-y,-z'
'-x,y,-z+1/2'
'x,-y,z+1/2'
loop_
_atom_site_label
_atom_site_fract_x
_atom_site_fract_y
_atom_site_fract_z
Eu1 0.0000 0.2219 0.2500
Ta1 0.5000 0.3208 0.7500
O1 0.2532 0.0996 0.6127
O2 0.2804 0.4303 0.0068
```

***

[3]
Starting from a crystal structure in the Materials Project, relaxed with PBE, the PXRD pattern of Zr6Sb2Pt was calculated for Cu Ka.

Principal peaks in the range 2θ from 10° to 90°, low angle first:
2θ (°), Rel. int., h k l
12.96, 17, 1 0 0
22.55, 23, 1 1 0
27.33, 16, 1 0 1
33.13, 58, 1 1 1
34.76, 33, 2 1 0
35.71, 100, 2 0 1
39.59, 52, 3 0 0
42.65, 56, 2 1 1
49.04, 20, 0 0 2
64.56, 38, 3 2 1
64.77, 24, 3 0 2
82.91, 18, 2 0 3

Cell and atoms:
```
data_Zr6Sb2Pt
_cell_length_a 7.8855
_cell_length_b 7.8855
_cell_length_c 3.7154
_cell_angle_alpha 90.00
_cell_angle_beta 90.00
_cell_angle_gamma 120.00
_space_group_name_H-M_alt 'P -6 2 m'
_space_group_IT_number 189
_space_group_name_Hall 'P -6 -2'
loop_
_atom_site_label
_atom_site_fract_x
_atom_site_fract_y
_atom_site_fract_z
Zr1 0.0000 0.4048 0.0000
Zr2 0.0000 0.7481 0.5000
Sb1 0.3333 0.6667 0.5000
Pt1 0.0000 0.0000 0.0000
```

***

[4]
Starting from a crystal structure in the Materials Project, relaxed with PBE, the PXRD pattern of Mg2Sn was calculated for Cu Ka.

Principal peaks in the range 2θ from 10° to 90°, low angle first:
2θ (°), Rel. int., h k l
20.27, 27, 1 0 0
24.79, 100, 1 0 1
28.45, 26, 0 0 2
35.19, 60, 1 0 2
35.49, 89, 1 1 0
43.78, 23, 2 0 1
46.10, 43, 1 1 2
48.22, 18, 1 0 3
50.84, 21, 2 0 2
57.57, 22, 2 1 1
63.54, 22, 2 1 2
70.67, 24, 1 1 4

Cell and atoms:
```
data_Mg2Sn
_cell_length_a 5.0584
_cell_length_b 5.0584
_cell_length_c 6.2739
_cell_angle_alpha 90.00
_cell_angle_beta 90.00
_cell_angle_gamma 120.00
_space_group_name_H-M_alt 'P 63/m m c'
_space_group_IT_number 194
_space_group_name_Hall '-P 6c 2c'
loop_
_atom_site_label
_atom_site_fract_x
_atom_site_fract_y
_atom_site_fract_z
Mg1 0.0000 0.0000 0.0000
Mg2 0.3333 0.6667 0.2500
Sn1 0.3333 0.6667 0.7500
```

***

[5]
Starting from a crystal structure in the Materials Project, relaxed with PBE, the PXRD pattern of MgCu10P6O26 was calculated for Cu Ka.

Principal peaks in the range 2θ from 10° to 90°, low angle first:
2θ (°), Rel. int., h k l
10.77, 59, 0 1 0
22.60, 34, 1 0 2
26.27, 100, 0 0 3
28.65, 47, 0 1 -3
28.78, 37, 2 0 0
32.13, 73, 2 1 -1
32.71, 61, 0 3 0
33.82, 56, 2 0 2
33.86, 46, 2 0 -2
35.52, 47, 2 1 2
53.88, 34, 2 0 -5
59.61, 31, 4 0 0

Cell and atoms:
```
data_MgCu10P6O26
_cell_length_a 6.2040
_cell_length_b 8.2146
_cell_length_c 10.1772
_cell_angle_alpha 89.00
_cell_angle_beta 89.94
_cell_angle_gamma 89.92
_space_group_name_H-M_alt 'P 1'
_space_group_IT_number 1
loop_
_space_group_symop_operation_xyz
'x,y,z'
loop_
_atom_site_label
_atom_site_fract_x
_atom_site_fract_y
_atom_site_fract_z
Mg1 0.0000 0.0000 0.0000
Cu1 0.2412 0.6822 0.6798
Cu2 0.2474 0.3869 0.2586
Cu3 0.4897 0.9747 0.5878
Cu4 0.4935 0.7593 0.0140
Cu5 0.5011 0.6855 0.3914
Cu6 0.7404 0.6828 0.6798
Cu7 0.7412 0.3873 0.2582
Cu8 0.9810 0.0988 0.3693
Cu9 0.9908 0.3310 0.9204
Cu10 0.9958 0.3962 0.5443
P1 0.4918 0.3889 0.9886
P2 0.4943 0.0383 0.2460
P3 0.4937 0.3847 0.5812
P4 0.9912 0.6815 0.9497
P5 0.9918 0.0322 0.6902
P6 0.9932 0.6895 0.3515
O1 0.0025 0.8736 0.3404
O2 0.1835 0.7981 0.9811
O3 0.1975 0.9240 0.6812
O4 0.1984 0.6204 0.2809
O5 0.2853 0.4451 0.6535
O6 0.2893 0.1502 0.2592
O7 0.2908 0.2865 0.9567
O8 0.4794 0.9537 0.1142
O9 0.4901 0.7417 0.5785
O10 0.4924 0.4261 0.1427
O11 0.4935 0.5583 0.9183
O12 0.4948 0.2018 0.5692
O13 0.4961 0.4560 0.4366
O14 0.5001 0.9198 0.3669
O15 0.6917 0.2853 0.9562
O16 0.6988 0.4459 0.6552
O17 0.7067 0.1439 0.2492
O18 0.7838 0.6268 0.2818
O19 0.7871 0.9241 0.6796
O20 0.8030 0.8019 0.9840
O21 0.9898 0.5227 0.0292
O22 0.9901 0.6399 0.7998
O23 0.9917 0.1140 0.8278
O24 0.9922 0.6309 0.4990
O25 0.9933 0.1581 0.5759
O26 0.9959 0.3325 0.3556
```